Entry 1:
This entry pairs a crystal structure of YEr2ScTl2 with its simulated powder X-ray diffraction pattern. Radiation: λ = 1.5418 Å (Cu Kα). Structure: the PBE geometry in Alexandria.
Peak positions follow from Bragg's law for the DFT cell and can differ from measured ones.

Top 10 peaks for 10° ≤ 2θ ≤ 90°, sorted by position:
(hkl)  d (Å)  I (rel.)
0 2 1  3.965  15
0 0 2  3.448  14
0 3 1  2.927  13
1 0 2  2.820  35
1 3 0  2.706  100
1 3 1  2.516  32
2 0 0  2.461  33
0 3 2  2.357  12
0 2 3  2.074  14
3 3 0  1.464  16

Crystal structure
a = 4.922 Å, b = 9.701 Å, c = 6.883 Å
α = 90.00°, β = 90.00°, γ = 90.00°
Space group Pmc2_1 (No. 26)
Unique sites:
Y (0.000, 0.050, 0.000)
Er (0.000, 0.310, 0.394)
Er (0.500, 0.451, 0.103)
Sc (0.500, 0.197, 0.711)
Tl (0.000, 0.366, 0.842)
Tl (0.500, 0.120, 0.273)

Entry 2:
This entry pairs a crystal structure of ErScTlZn with its simulated powder X-ray diffraction pattern. Radiation: λ = 1.5418 Å (Cu Kα). Structure: the PBE geometry in Alexandria.
Peak positions follow from Bragg's law for the DFT cell and can differ from measured ones.

Top 10 peaks for 10° ≤ 2θ ≤ 90°, sorted by position:
(hkl)  d (Å)  I (rel.)
0 0 1  7.158  24
1 0 1  3.184  39
1 0 2  2.522  100
1 1 0  2.514  52
2 0 0  1.777  18
1 1 3  1.730  12
2 1 1  1.552  10
1 1 4  1.458  15
2 1 2  1.453  36
3 1 0  1.124  16

Crystal structure
a = 3.555 Å, b = 3.555 Å, c = 7.158 Å
α = 90.00°, β = 90.00°, γ = 90.00°
Space group P4mm (No. 99)
Unique sites:
Er (0.000, 0.000, 0.000)
Sc (0.000, 0.000, 0.544)
Tl (0.500, 0.500, 0.287)
Zn (0.500, 0.500, 0.754)

Entry 3:
This entry pairs a crystal structure of Er8TmSc4 with its simulated powder X-ray diffraction pattern. Radiation: λ = 1.5418 Å (Cu Kα). Structure: the PBE geometry in Alexandria.
Peak positions follow from Bragg's law for the DFT cell and can differ from measured ones.

Top 10 peaks for 10° ≤ 2θ ≤ 90°, sorted by position:
(hkl)  d (Å)  I (rel.)
0 0 6  4.619  21
1 1 3  3.233  16
2 0 2  2.921  45
1 1 6  2.764  17
0 2 4  2.744  100
2 0 5  2.630  15
1 0 10  2.514  20
0 2 7  2.385  16
2 0 8  2.263  31
2 2 0  1.725  30

Crystal structure
a = 6.9016 Å, b = 6.9016 Å, c = 27.7120 Å
α = 90.00°, β = 90.00°, γ = 120.00°
Space group R-3m (No. 166, hexagonal axes)
Unique sites:
Er (0.0000, 0.0000, 0.2110)
Er (0.0222, 0.5111, 0.7595)
Tm (0.0000, 0.0000, 0.5000)
Sc (0.0000, 0.0000, 0.0000)
Sc (0.0000, 0.5000, 0.0000)

Entry 4:
This entry pairs a crystal structure of ErTmSc6 with its simulated powder X-ray diffraction pattern. Radiation: λ = 1.5418 Å (Cu Kα). Structure: the PBE geometry in Alexandria.
Peak positions follow from Bragg's law for the DFT cell and can differ from measured ones.

Top 10 peaks for 10° ≤ 2θ ≤ 90°, sorted by position:
(hkl)  d (Å)  I (rel.)
1 0 0  5.848  18
1 0 1  3.915  50
1 1 0  3.376  22
2 0 0  2.924  24
0 0 2  2.635  24
2 0 1  2.557  100
2 1 1  2.038  17
2 2 0  1.688  18
2 0 3  1.506  18
2 2 2  1.421  20

Crystal structure
a = 6.7524 Å, b = 6.7524 Å, c = 5.2698 Å
α = 90.00°, β = 90.00°, γ = 120.00°
Space group P-6m2 (No. 187)
Unique sites:
Er (0.0000, 0.0000, 0.0000)
Tm (0.6667, 0.3333, 0.5000)
Sc (0.0058, 0.5029, 0.0000)
Sc (0.1695, 0.3390, 0.5000)

Entry 5:
This entry pairs a crystal structure of Er4Tm19Sc6 with its simulated powder X-ray diffraction pattern. Radiation: λ = 1.5418 Å (Cu Kα). Structure: the PBE geometry in Alexandria.
Peak positions follow from Bragg's law for the DFT cell and can differ from measured ones.

Top 10 peaks for 10° ≤ 2θ ≤ 90°, sorted by position:
(hkl)  d (Å)  I (rel.)
3 3 -1  3.233  21
4 0 0  3.058  33
0 4 0  3.015  71
0 0 3  2.885  44
3 3 0  2.866  61
6 0 -3  2.848  100
3 3 -3  2.840  63
6 2 -2  2.475  29
7 1 -3  2.372  32
5 3 -4  2.363  22

Crystal structure
a = 17.065 Å, b = 12.066 Å, c = 12.058 Å
α = 90.00°, β = 134.21°, γ = 90.00°
Space group C2 (No. 5)
Unique sites:
Er (0.175, 0.000, 0.495)
Er (0.176, 0.641, 0.855)
Tm (0.000, 0.088, 0.500)
Tm (0.000, 0.554, 0.500)
Tm (0.000, 0.820, 0.500)
Tm (0.003, 0.822, 0.769)
Tm (0.064, 0.092, 0.843)
Tm (0.064, 0.551, 0.284)
Tm (0.218, 0.377, 0.944)
Tm (0.227, 0.262, 0.503)
Tm (0.230, 0.040, 0.289)
Tm (0.230, 0.603, 0.173)
Tm (0.234, 0.322, 0.235)
Sc (0.000, 0.201, 0.000)
Sc (0.000, 0.442, 0.000)
Sc (0.003, 0.321, 0.381)
Sc (0.117, 0.823, 0.116)

Entry 6:
This entry pairs a crystal structure of Er3TmSc7 with its simulated powder X-ray diffraction pattern. Radiation: λ = 1.5418 Å (Cu Kα). Structure: the PBE geometry in Alexandria.
Peak positions follow from Bragg's law for the DFT cell and can differ from measured ones.

Top 10 peaks for 10° ≤ 2θ ≤ 90°, sorted by position:
(hkl)  d (Å)  I (rel.)
0 0 2  5.343  52
1 2 1  3.541  100
2 0 0  2.709  44
0 0 4  2.672  32
0 4 0  2.601  19
1 2 3  2.584  86
1 3 2  2.563  36
2 0 4  1.902  24
3 2 3  1.539  17
2 4 4  1.535  19

Crystal structure
a = 5.418 Å, b = 10.405 Å, c = 10.687 Å
α = 90.00°, β = 90.00°, γ = 90.00°
Space group Immm (No. 71)
Unique sites:
Er (0.000, 0.000, 0.000)
Er (0.000, 0.289, 0.500)
Tm (0.000, 0.500, 0.000)
Sc (0.000, 0.000, 0.500)
Sc (0.000, 0.194, 0.212)
Sc (0.000, 0.500, 0.292)

Entry 7:
This entry pairs a crystal structure of Er4TmSc3 with its simulated powder X-ray diffraction pattern. Radiation: λ = 1.5418 Å (Cu Kα). Structure: the PBE geometry in Alexandria.
Peak positions follow from Bragg's law for the DFT cell and can differ from measured ones.

Top 10 peaks for 10° ≤ 2θ ≤ 90°, sorted by position:
(hkl)  d (Å)  I (rel.)
1 0 0  5.539  23
0 1 2  2.917  16
0 2 0  2.791  100
2 0 0  2.769  33
1 1 2  2.412  67
0 0 4  1.711  23
2 2 0  1.701  23
0 2 4  1.457  18
2 0 4  1.455  18
3 1 2  1.449  13

Crystal structure
a = 5.881 Å, b = 5.922 Å, c = 6.847 Å
α = 90.08°, β = 90.03°, γ = 109.65°
Space group P-1 (No. 2)
Unique sites:
Er (0.000, 0.000, 0.000)
Er (0.000, 0.000, 0.500)
Er (0.000, 0.500, 0.248)
Tm (0.500, 0.500, 0.500)
Sc (0.500, 0.000, 0.247)
Sc (0.500, 0.500, 0.000)

Entry 8:
This entry pairs a crystal structure of Er2Tm6Sc with its simulated powder X-ray diffraction pattern. Radiation: λ = 1.5418 Å (Cu Kα). Structure: the PBE geometry in Alexandria.
Peak positions follow from Bragg's law for the DFT cell and can differ from measured ones.

Top 10 peaks for 10° ≤ 2θ ≤ 90°, sorted by position:
(hkl)  d (Å)  I (rel.)
1 3 1  3.133  19
4 2 -1  3.045  23
2 2 -2  2.995  39
3 3 0  2.954  39
4 2 0  2.859  33
1 1 2  2.748  100
0 4 1  2.737  39
4 2 -2  2.641  37
1 3 -2  2.605  19
5 1 0  2.536  37

Crystal structure
a = 14.179 Å, b = 12.143 Å, c = 6.914 Å
α = 90.00°, β = 113.89°, γ = 90.00°
Space group C2/c (No. 15)
Unique sites:
Er (0.178, 0.017, 0.389)
Tm (0.006, 0.144, 0.519)
Tm (0.107, 0.429, 0.724)
Tm (0.225, 0.283, 0.229)
Sc (0.000, 0.343, 0.250)

Entry 9:
This entry pairs a crystal structure of Er2Tm12Sc with its simulated powder X-ray diffraction pattern. Radiation: λ = 1.5418 Å (Cu Kα). Structure: the PBE geometry in Alexandria.
Peak positions follow from Bragg's law for the DFT cell and can differ from measured ones.

Top 10 peaks for 10° ≤ 2θ ≤ 90°, sorted by position:
(hkl)  d (Å)  I (rel.)
2 0 2  3.073  100
1 1 6  2.988  27
2 0 3  2.954  31
2 0 4  2.809  48
1 1 7  2.726  56
0 0 9  2.666  32
2 0 6  2.489  36
2 2 0  2.248  59
3 1 9  1.605  30
2 0 15  1.429  26

Crystal structure
a = 6.358 Å, b = 6.358 Å, c = 23.993 Å
α = 90.00°, β = 90.00°, γ = 90.00°
Space group P4/nbm (No. 125, origin choice 2)
Unique sites:
Er (0.250, 0.750, 0.229)
Tm (0.000, 0.000, 0.396)
Tm (0.081, 0.581, 0.062)
Tm (0.250, 0.250, 0.163)
Tm (0.250, 0.250, 0.291)
Sc (0.250, 0.750, 0.500)

Entry 10:
This entry pairs a crystal structure of Er5Tm12Sc with its simulated powder X-ray diffraction pattern. Radiation: λ = 1.5418 Å (Cu Kα). Structure: the PBE geometry in Alexandria.
Peak positions follow from Bragg's law for the DFT cell and can differ from measured ones.

Top 10 peaks for 10° ≤ 2θ ≤ 90°, sorted by position:
(hkl)  d (Å)  I (rel.)
1 3 -2  2.900  100
0 0 6  2.820  74
1 3 2  2.793  25
2 0 2  2.732  76
2 0 -4  2.599  77
1 3 4  2.392  54
1 3 -8  1.783  27
0 6 0  1.747  55
3 3 5  1.485  64
3 3 11  1.097  35

Crystal structure
a = 6.054 Å, b = 10.483 Å, c = 17.039 Å
α = 90.00°, β = 96.81°, γ = 90.00°
Space group C2/m (No. 12)
Unique sites:
Er (0.000, 0.000, 0.000)
Er (0.000, 0.167, 0.500)
Er (0.000, 0.333, 0.000)
Tm (0.111, 0.167, 0.831)
Tm (0.111, 0.500, 0.831)
Tm (0.221, 0.335, 0.664)
Tm (0.225, 0.000, 0.664)
Sc (0.000, 0.500, 0.500)

Entry 11:
This entry pairs a crystal structure of Er5Tm4Sc with its simulated powder X-ray diffraction pattern. Radiation: λ = 1.5418 Å (Cu Kα). Structure: the PBE geometry in Alexandria.
Peak positions follow from Bragg's law for the DFT cell and can differ from measured ones.

Top 10 peaks for 10° ≤ 2θ ≤ 90°, sorted by position:
(hkl)  d (Å)  I (rel.)
1 0 -2  2.838  100
0 2 2  2.832  33
1 2 0  2.461  45
0 1 -4  2.447  22
1 1 4  1.736  39
2 1 2  1.485  19
1 4 2  1.482  19
0 1 6  1.477  18
2 0 6  1.126  10
2 -7 4  1.099  9

Crystal structure
a = 3.487 Å, b = 9.192 Å, c = 9.788 Å
α = 105.47°, β = 90.06°, γ = 100.92°
Space group P-1 (No. 2)
Unique sites:
Er (0.000, 0.000, 0.000)
Er (0.199, 0.398, 0.599)
Er (0.199, 0.399, 0.100)
Tm (0.401, 0.803, 0.205)
Tm (0.402, 0.803, 0.697)
Sc (0.000, 0.000, 0.500)

Entry 12:
This entry pairs a crystal structure of Er3Tm5Sc3 with its simulated powder X-ray diffraction pattern. Radiation: λ = 1.5418 Å (Cu Kα). Structure: the PBE geometry in Alexandria.
Peak positions follow from Bragg's law for the DFT cell and can differ from measured ones.

Top 10 peaks for 10° ≤ 2θ ≤ 90°, sorted by position:
(hkl)  d (Å)  I (rel.)
1 0 0  7.998  27
0 0 1  5.439  25
1 1 0  4.617  32
2 0 1  3.222  100
2 1 0  3.023  41
0 0 2  2.719  41
2 1 1  2.642  60
3 0 1  2.394  44
2 1 2  2.022  26
5 1 2  1.270  19

Crystal structure
a = 9.2348 Å, b = 9.2348 Å, c = 5.4386 Å
α = 90.00°, β = 90.00°, γ = 120.00°
Space group P-62m (No. 189)
Unique sites:
Er (0.0000, 0.5345, 0.0000)
Tm (0.0000, 0.7437, 0.5000)
Tm (0.3333, 0.6667, 0.5000)
Sc (0.0000, 0.3784, 0.5000)